Entry 1:
Simulated X-ray diffraction stick pattern
Compound: Tb3Pb
Radiation: copper Kα
Structure: DFT lattice parameters and positions (PBE)

Main lines, in order of rising 2θ (15 to 90 degrees two-theta):
- 31.68 deg, d 2.824, I 100
- 34.18 deg, d 2.623, I 20
- 37.98 deg, d 2.369, I 31
- 52.01 deg, d 1.758, I 25
- 54.79 deg, d 1.675, I 11
- 59.63 deg, d 1.550, I 17
- 64.69 deg, d 1.441, I 26
- 66.18 deg, d 1.412, I 12
- 84.41 deg, d 1.148, I 6
- 85.29 deg, d 1.138, I 13

Cell and atoms:
Unit cell a=6.225 b=6.225 c=6.225 alpha=135.26 beta=135.26 gamma=65.13
Positions (direct):
Tb 0.000 0.000 0.000
Tb 0.250 0.750 0.500
Tb 0.750 0.250 0.500
Pb 0.500 0.500 0.000

---

Entry 2:
Simulated X-ray diffraction stick pattern
Compound: Sb2Pt
Radiation: copper Kα
Structure: DFT lattice parameters and positions (PBE)

Main lines, in order of rising 2θ (15 to 90 degrees two-theta):
- 23.53 deg, d 3.781, I 28
- 27.23 deg, d 3.274, I 48
- 30.52 deg, d 2.929, I 59
- 33.52 deg, d 2.674, I 46
- 38.90 deg, d 2.315, I 38
- 45.96 deg, d 1.975, I 100
- 52.27 deg, d 1.750, I 25
- 63.53 deg, d 1.464, I 19
- 75.42 deg, d 1.260, I 31
- 83.51 deg, d 1.158, I 22

Cell and atoms:
Unit cell a=6.549 b=6.549 c=6.549 alpha=90.00 beta=90.00 gamma=90.00
Positions (direct):
Sb 0.125 0.125 0.125
Sb 0.125 0.375 0.625
Sb 0.375 0.625 0.125
Sb 0.375 0.875 0.625
Sb 0.625 0.125 0.375
Sb 0.625 0.375 0.875
Sb 0.875 0.625 0.375
Sb 0.875 0.875 0.875
Pt 0.000 0.000 0.500
Pt 0.000 0.500 0.000
Pt 0.500 0.000 0.000
Pt 0.500 0.500 0.500

---

Entry 3:
Simulated X-ray diffraction stick pattern
Compound: SiO2
Radiation: copper Kα
Structure: DFT lattice parameters and positions (PBE)

Main lines, in order of rising 2θ (15 to 90 degrees two-theta):
- 21.35 deg, d 4.162, I 100
- 33.52 deg, d 2.673, I 24
- 33.66 deg, d 2.663, I 24
- 33.99 deg, d 2.638, I 7
- 37.42 deg, d 2.403, I 5
- 42.88 deg, d 2.109, I 7
- 43.48 deg, d 2.081, I 10
- 46.23 deg, d 1.964, I 6
- 58.69 deg, d 1.573, I 5
- 62.56 deg, d 1.485, I 6

Cell and atoms:
Unit cell a=8.323 b=8.325 c=10.427 alpha=89.72 beta=89.65 gamma=60.03
Positions (direct):
Si 0.001 0.121 0.251
Si 0.039 0.794 0.084
Si 0.042 0.173 0.586
Si 0.289 0.164 0.084
Si 0.293 0.539 0.582
Si 0.335 0.210 0.419
Si 0.339 0.454 0.919
Si 0.374 0.501 0.249
Si 0.376 0.131 0.749
Si 0.624 0.869 0.251
Si 0.626 0.499 0.751
Si 0.661 0.546 0.081
Si 0.665 0.790 0.581
Si 0.707 0.461 0.418
Si 0.711 0.836 0.916
Si 0.958 0.827 0.414
Si 0.961 0.206 0.916
Si 0.999 0.879 0.749
O 0.001 0.994 0.373
O 0.003 0.999 0.125
O 0.164 0.658 0.458
O 0.166 0.162 0.209
O 0.167 0.167 0.461
O 0.167 0.169 0.960
O 0.168 0.171 0.709
O 0.168 0.660 0.959
O 0.168 0.674 0.209
O 0.169 0.674 0.705
O 0.327 0.333 0.042
O 0.332 0.335 0.293
O 0.339 0.330 0.544
O 0.342 0.332 0.792
O 0.497 0.995 0.627
O 0.498 0.502 0.123
O 0.498 0.502 0.376
O 0.498 0.991 0.126
O 0.502 0.009 0.874
O 0.502 0.498 0.624
O 0.502 0.498 0.877
O 0.503 0.005 0.373
O 0.658 0.668 0.208
O 0.661 0.670 0.456
O 0.668 0.665 0.707
O 0.673 0.667 0.958
O 0.831 0.326 0.295
O 0.832 0.326 0.791
O 0.832 0.340 0.041
O 0.832 0.829 0.291
O 0.833 0.831 0.040
O 0.833 0.833 0.539
O 0.834 0.838 0.791
O 0.836 0.342 0.542
O 0.997 0.001 0.875
O 0.999 0.006 0.627

---

- Which formula does entry 1 have?
  Tb3Pb